This entry pairs a crystal structure of UMn2VO8 with its calculated powder X-ray diffraction pattern. Radiation: Cu Kα X-rays. Structure: the PBE+U geometry in Alexandria.

The 10 most intense peaks (10° ≤ 2θ ≤ 80°), sorted by position:
d [Å]	two_theta	I (rel.)
6.500	13.6	40
4.617	19.2	43
3.764	23.6	66
3.281	27.2	58
3.248	27.5	67
2.658	33.7	100
2.308	39.0	23
1.748	52.3	39
1.738	52.7	39
1.391	67.3	23

Structure:
Lattice parameters (Å, degrees): 4.617 4.617 6.500 90.00 90.00 90.58
Sites, in units of the cell vectors:
U 0.000 0.000 0.000
Mn 0.500 0.500 0.269
Mn 0.500 0.500 0.731
V 0.000 0.000 0.500
O 0.202 0.202 0.262
O 0.202 0.202 0.738
O 0.285 0.715 0.500
O 0.303 0.697 0.000
O 0.697 0.303 0.000
O 0.715 0.285 0.500
O 0.798 0.798 0.262
O 0.798 0.798 0.738